LiVF3: computed PXRD pattern (Cu Ka), based on a GGA+U-relaxed structure.

Crystal structure
a = 5.384 Å, b = 4.986 Å, c = 8.813 Å
α = 90.00°, β = 90.00°, γ = 90.00°
Space group Pnna (No. 52)
Symmetry-distinct sites (fractional):
1 Li 0.250 0.000 0.203 x4
2 V 0.250 0.000 0.594 x4
3 F 0.056 0.250 0.750 x4
4 F 0.089 0.216 0.410 x8

Peak list (10 most intense, 2θ = 10–90°, by angle)
(1 0 1), 19.32°, intensity 17
(0 1 1), 20.46°, intensity 100
(1 1 2), 31.79°, intensity 57
(2 1 0), 37.99°, intensity 19
(1 1 3), 39.35°, intensity 59
(2 2 0), 49.85°, intensity 25
(1 2 3), 50.95°, intensity 40
(3 1 2), 58.54°, intensity 14
(3 0 3), 60.45°, intensity 20
(1 3 2), 62.13°, intensity 12